[1]
Starting from a cell relaxed with PBE, the powder XRD pattern of Y2MgSi2 was simulated for a wavelength of 1.5418 Å.
Lines closer than 0.1° are merged.

Principal peaks in the range 5° ≤ 2θ ≤ 70°, most intense first:
d (Å), 2θ/deg, I (rel.)
2.556, 35.11, 100
2.735, 32.74, 46
3.208, 27.81, 27
2.268, 39.74, 21
1.609, 57.26, 20
2.114, 42.77, 18
4.229, 21.01, 16
3.586, 24.83, 16
1.740, 52.61, 15
1.570, 58.82, 12

Structural model:
Unit cell a=7.1729 b=7.1729 c=4.2288 alpha=90.00 beta=90.00 gamma=90.00
Element x y z (fractional)
Y1 0.1790 0.3210 0.0000
Y2 0.3210 0.8210 0.0000
Y3 0.6790 0.1790 0.0000
Y4 0.8210 0.6790 0.0000
Mg1 0.0000 0.0000 0.5000
Mg2 0.5000 0.5000 0.5000
Si1 0.1178 0.6178 0.5000
Si2 0.3822 0.1178 0.5000
Si3 0.6178 0.8822 0.5000
Si4 0.8822 0.3822 0.5000


[2]
Starting from a cell relaxed with PBE, the powder XRD pattern of DyGaNi was simulated for a wavelength of 1.5418 Å.
Lines closer than 0.1° are merged.

Principal peaks in the range 5° ≤ 2θ ≤ 70°, most intense first:
d (Å), 2θ/deg, I (rel.)
2.555, 35.12, 100
2.440, 36.83, 76
2.663, 33.66, 68
2.161, 41.80, 57
2.534, 35.43, 52
2.095, 43.18, 51
3.666, 24.28, 34
2.419, 37.17, 31
1.435, 65.00, 19
2.120, 42.65, 17

Structural model:
Unit cell a=5.2973 b=5.2973 c=6.8435 alpha=125.26 beta=125.26 gamma=46.60
Element x y z (fractional)
Dy1 0.0566 0.0566 0.3107
Dy2 0.9434 0.9434 0.6893
Ga1 0.3236 0.3236 0.9000
Ga2 0.6764 0.6764 0.1000
Ni1 0.3435 0.3435 0.2982
Ni2 0.6565 0.6565 0.7018


[3]
Starting from a cell relaxed with PBE, the powder XRD pattern of Cs3TaS4 was simulated for a wavelength of 1.5418 Å.
Lines closer than 0.1° are merged.

Principal peaks in the range 5° ≤ 2θ ≤ 70°, most intense first:
d (Å), 2θ/deg, I (rel.)
3.863, 23.02, 100
3.836, 23.19, 78
3.107, 28.74, 75
3.585, 24.84, 68
6.131, 14.45, 48
2.546, 35.25, 35
2.958, 30.21, 33
3.607, 24.68, 30
3.081, 28.98, 29
2.972, 30.07, 26

Structural model:
Unit cell a=10.0782 b=11.8332 c=10.1994 alpha=90.00 beta=90.00 gamma=90.00
Element x y z (fractional)
Cs1 0.0504 0.0418 0.2107
Cs2 0.0504 0.4582 0.2107
Cs3 0.1454 0.7500 0.4204
Cs4 0.3546 0.2500 0.9204
Cs5 0.4496 0.5418 0.7107
Cs6 0.4496 0.9582 0.7107
Cs7 0.5504 0.0418 0.2893
Cs8 0.5504 0.4582 0.2893
Cs9 0.6454 0.7500 0.0796
Cs10 0.8546 0.2500 0.5796
Cs11 0.9496 0.5418 0.7893
Cs12 0.9496 0.9582 0.7893
Ta1 0.2214 0.7500 0.9853
Ta2 0.2786 0.2500 0.4853
Ta3 0.7214 0.7500 0.5147
Ta4 0.7786 0.2500 0.0147
S1 0.0123 0.7500 0.0741
S2 0.1678 0.0903 0.5485
S3 0.1678 0.4097 0.5485
S4 0.2043 0.7500 0.7611
S5 0.2957 0.2500 0.2611
S6 0.3322 0.5903 0.0485
S7 0.3322 0.9097 0.0485
S8 0.4877 0.2500 0.5741
S9 0.5123 0.7500 0.4259
S10 0.6678 0.0903 0.9515
S11 0.6678 0.4097 0.9515
S12 0.7043 0.7500 0.7389
S13 0.7957 0.2500 0.2389
S14 0.8322 0.5903 0.4515
S15 0.8322 0.9097 0.4515
S16 0.9877 0.2500 0.9259


Repeat the third record exactly.
Starting from a cell relaxed with PBE, the powder XRD pattern of Cs3TaS4 was simulated for a wavelength of 1.5418 Å.
Lines closer than 0.1° are merged.

Principal peaks in the range 5° ≤ 2θ ≤ 70°, most intense first:
d (Å), 2θ/deg, I (rel.)
3.863, 23.02, 100
3.836, 23.19, 78
3.107, 28.74, 75
3.585, 24.84, 68
6.131, 14.45, 48
2.546, 35.25, 35
2.958, 30.21, 33
3.607, 24.68, 30
3.081, 28.98, 29
2.972, 30.07, 26

Structural model:
Unit cell a=10.0782 b=11.8332 c=10.1994 alpha=90.00 beta=90.00 gamma=90.00
Element x y z (fractional)
Cs1 0.0504 0.0418 0.2107
Cs2 0.0504 0.4582 0.2107
Cs3 0.1454 0.7500 0.4204
Cs4 0.3546 0.2500 0.9204
Cs5 0.4496 0.5418 0.7107
Cs6 0.4496 0.9582 0.7107
Cs7 0.5504 0.0418 0.2893
Cs8 0.5504 0.4582 0.2893
Cs9 0.6454 0.7500 0.0796
Cs10 0.8546 0.2500 0.5796
Cs11 0.9496 0.5418 0.7893
Cs12 0.9496 0.9582 0.7893
Ta1 0.2214 0.7500 0.9853
Ta2 0.2786 0.2500 0.4853
Ta3 0.7214 0.7500 0.5147
Ta4 0.7786 0.2500 0.0147
S1 0.0123 0.7500 0.0741
S2 0.1678 0.0903 0.5485
S3 0.1678 0.4097 0.5485
S4 0.2043 0.7500 0.7611
S5 0.2957 0.2500 0.2611
S6 0.3322 0.5903 0.0485
S7 0.3322 0.9097 0.0485
S8 0.4877 0.2500 0.5741
S9 0.5123 0.7500 0.4259
S10 0.6678 0.0903 0.9515
S11 0.6678 0.4097 0.9515
S12 0.7043 0.7500 0.7389
S13 0.7957 0.2500 0.2389
S14 0.8322 0.5903 0.4515
S15 0.8322 0.9097 0.4515
S16 0.9877 0.2500 0.9259